# 1
Calculated powder X-ray diffraction pattern
Compound: Tm5Ge2Pb
Radiation: Cu Kα
Structure: a PBE-relaxed structure

Atomic structure:
Unit cell a=7.8443 b=7.8443 c=13.2582 alpha=90.00 beta=90.00 gamma=90.00
Space group I4/mcm (No. 140)
Inequivalent atoms, fractional coordinates:
Tm 0.0000 0.0000 0.0000 (multiplicity 4)
Tm 0.1529 0.3471 0.1412 (multiplicity 16)
Ge 0.1502 0.3498 0.5000 (multiplicity 8)
Pb 0.0000 0.0000 0.2500 (multiplicity 4)

Top 6 peaks for 2θ from 10° to 80°, in order of rising 2θ:
26.28 deg, 3.391 Å, intensity 23; 31.44 deg, 2.845 Å, intensity 45; 32.59 deg, 2.748 Å, intensity 100; 35.46 deg, 2.532 Å, intensity 35; 36.21 deg, 2.481 Å, intensity 78; 57.04 deg, 1.615 Å, intensity 21

# 2
Calculated powder X-ray diffraction pattern
Compound: Tl2AuO4
Radiation: Cu Kα
Structure: a PBE-relaxed structure

Atomic structure:
Unit cell a=5.7486 b=11.2668 c=3.2420 alpha=90.00 beta=90.00 gamma=90.00
Space group Cmmm (No. 65)
Inequivalent atoms, fractional coordinates:
Tl 0.0000 0.1713 0.0000 (multiplicity 4)
Au 0.0000 0.5000 0.5000 (multiplicity 2)
O 0.2362 0.5000 0.0000 (multiplicity 4)
O 0.2500 0.2500 0.5000 (multiplicity 4)

Top 6 peaks for 2θ from 10° to 80°, in order of rising 2θ:
28.39 deg, 3.144 Å, intensity 100; 31.12 deg, 2.874 Å, intensity 31; 31.84 deg, 2.810 Å, intensity 27; 32.69 deg, 2.739 Å, intensity 58; 45.12 deg, 2.009 Å, intensity 37; 53.66 deg, 1.708 Å, intensity 29

# 3
Calculated powder X-ray diffraction pattern
Compound: Na7SbO6
Radiation: Cu Kα
Structure: a PBE-relaxed structure

Atomic structure:
Unit cell a=6.5093 b=6.5093 c=15.5267 alpha=90.00 beta=90.00 gamma=120.00
Space group R3 (No. 146, hexagonal axes)
Inequivalent atoms, fractional coordinates:
Na 0.0000 0.0000 0.0000 (multiplicity 3)
Na 0.0663 0.3398 0.8811 (multiplicity 9)
Na 0.0813 0.6856 0.0906 (multiplicity 9)
Sb 0.0000 0.0000 0.6521 (multiplicity 3)
O 0.0380 0.2861 0.7266 (multiplicity 9)
O 0.0724 0.6682 0.2445 (multiplicity 9)

Top 6 peaks for 2θ from 10° to 80°, in order of rising 2θ:
16.73 deg, 5.299 Å, intensity 100; 19.46 deg, 4.562 Å, intensity 66; 27.91 deg, 3.197 Å, intensity 32; 32.50 deg, 2.755 Å, intensity 75; 44.74 deg, 2.026 Å, intensity 64; 48.44 deg, 1.879 Å, intensity 30

# 4
Calculated powder X-ray diffraction pattern
Compound: PaSeBr3
Radiation: Cu Kα
Structure: a PBE-relaxed structure

Atomic structure:
Unit cell a=7.6384 b=15.2686 c=14.2250 alpha=90.00 beta=96.72 gamma=90.00
Space group C2/c (No. 15)
Inequivalent atoms, fractional coordinates:
Pa 0.0822 0.0612 0.1390 (multiplicity 8)
Se 0.1428 0.1928 0.2918 (multiplicity 8)
Br 0.1304 0.3687 0.9260 (multiplicity 8)
Br 0.1367 0.1007 0.5369 (multiplicity 8)
Br 0.2268 0.0370 0.8022 (multiplicity 8)

Top 6 peaks for 2θ from 10° to 80°, in order of rising 2θ:
11.59 deg, 7.634 Å, intensity 52; 13.03 deg, 6.794 Å, intensity 100; 13.18 deg, 6.716 Å, intensity 50; 27.89 deg, 3.199 Å, intensity 22; 37.09 deg, 2.424 Å, intensity 25; 39.68 deg, 2.271 Å, intensity 22

# 5
Calculated powder X-ray diffraction pattern
Compound: Np6AsS5
Radiation: Cu Kα
Structure: a PBE-relaxed structure

Atomic structure:
Unit cell a=6.8234 b=11.8289 c=6.8358 alpha=90.00 beta=109.48 gamma=90.00
Space group C2/m (No. 12)
Inequivalent atoms, fractional coordinates:
Np 0.2430 0.0000 0.2534 (multiplicity 4)
Np 0.2440 0.1707 0.7443 (multiplicity 8)
As 0.0000 0.5000 0.0000 (multiplicity 2)
S 0.0000 0.0000 0.5000 (multiplicity 2)
S 0.0000 0.1673 0.0000 (multiplicity 4)
S 0.0000 0.3376 0.5000 (multiplicity 4)

Top 6 peaks for 2θ from 10° to 80°, in order of rising 2θ:
27.71 deg, 3.219 Å, intensity 93; 32.10 deg, 2.788 Å, intensity 100; 46.04 deg, 1.971 Å, intensity 74; 54.59 deg, 1.681 Å, intensity 42; 57.21 deg, 1.610 Å, intensity 19; 76.37 deg, 1.247 Å, intensity 28

# 6
Calculated powder X-ray diffraction pattern
Compound: Y5Pt4O
Radiation: Cu Kα
Structure: a PBE-relaxed structure

Atomic structure:
Unit cell a=8.8492 b=8.8492 c=5.4582 alpha=90.00 beta=90.00 gamma=90.00
Space group I4 (No. 79)
Inequivalent atoms, fractional coordinates:
Y 0.0000 0.0000 0.0000 (multiplicity 2)
Y 0.1237 0.2493 0.4761 (multiplicity 8)
Pt 0.0694 0.3387 0.9754 (multiplicity 8)
O 0.0000 0.0000 0.4369 (multiplicity 2)

Top 6 peaks for 2θ from 10° to 80°, in order of rising 2θ:
14.15 deg, 6.257 Å, intensity 47; 31.98 deg, 2.798 Å, intensity 100; 32.82 deg, 2.729 Å, intensity 76; 34.56 deg, 2.595 Å, intensity 81; 40.29 deg, 2.238 Å, intensity 73; 46.48 deg, 1.954 Å, intensity 70

# 7
Calculated powder X-ray diffraction pattern
Compound: Fe3NiRh2
Radiation: Cu Kα
Structure: a PBE-relaxed structure

Atomic structure:
Unit cell a=3.7590 b=11.3055 c=7.1870 alpha=90.00 beta=90.00 gamma=90.00
Space group Cmmm (No. 65)
Inequivalent atoms, fractional coordinates:
Fe 0.0000 0.0000 0.2444 (multiplicity 4)
Fe 0.0000 0.3303 0.2406 (multiplicity 8)
Ni 0.0000 0.1700 0.0000 (multiplicity 4)
Rh 0.0000 0.1668 0.5000 (multiplicity 4)
Rh 0.0000 0.5000 0.0000 (multiplicity 2)
Rh 0.0000 0.5000 0.5000 (multiplicity 2)

Top 6 peaks for 2θ from 10° to 80°, in order of rising 2θ:
42.26 deg, 2.139 Å, intensity 100; 48.30 deg, 1.884 Å, intensity 17; 48.43 deg, 1.880 Å, intensity 17; 50.82 deg, 1.797 Å, intensity 14; 70.81 deg, 1.331 Å, intensity 10; 72.82 deg, 1.299 Å, intensity 9

Q: What is the formula in the fourth record?
A: PaSeBr3